Diffraction record for Hf3P. The powder X-ray diffraction pattern is simulated, not measured: it uses a GGA-PBE-relaxed structure and λ = 1.5418 Å (Cu Kα).

Crystal structure
abc: 10.699 10.699 5.323
angles: 90.00 90.00 90.00
Space group P4_2/n (No. 86, origin choice 2)
One atom of each set of equivalent atoms:
1 Hf 0.034 0.570 0.238
2 Hf 0.112 0.222 0.030
3 Hf 0.142 0.666 0.718
4 P 0.044 0.209 0.537

Principal peaks in the range 10° ≤ 2θ ≤ 90°, low angle first:
23.56 deg, intensity 18, (2 2 0); 31.33 deg, intensity 44, (3 1 1); 34.61 deg, intensity 100, (2 3 1); 35.60 deg, intensity 30, (3 3 0); 35.76 deg, intensity 52, (1 1 2); 37.61 deg, intensity 52, (2 4 0); 38.60 deg, intensity 71, (4 1 1); 43.25 deg, intensity 21, (1 3 2); 54.99 deg, intensity 19, (6 1 1); 61.37 deg, intensity 20, (3 5 2)